Structure and theoretical powder X-ray diffraction pattern of KRu2O4 (a DFT-relaxed cell (GGA-PBE, Alexandria); λ = 1.5418 Å (Cu Kα)).
No peak broadening, texture or thermal motion is included.

Principal peaks in the range 15 to 90 degrees two-theta, most intense first:
2theta	intensity	h k l
32.45	100	0 0 4
34.11	92	1 1 2
18.57	53	2 0 0
58.95	47	4 1 4
47.79	46	4 1 0
68.66	23	3 2 2
57.88	17	6 0 0
58.67	12	0 2 0
87.04	12	6 2 0
78.26	11	7 1 2

Structure:
Lattice parameters (Å, degrees): 9.5581 3.1477 11.0384 90.00 90.00 90.00
Space group Pnma (No. 62)
Unique sites:
K 0.2444 0.2500 0.1515 (multiplicity 4)
Ru 0.0655 0.2500 0.3848 (multiplicity 4)
Ru 0.0833 0.2500 0.8931 (multiplicity 4)
O 0.0218 0.7500 0.7849 (multiplicity 4)
O 0.0628 0.2500 0.5686 (multiplicity 4)
O 0.1020 0.7500 0.0119 (multiplicity 4)
O 0.2043 0.7500 0.3602 (multiplicity 4)